Computed powder X-ray diffraction pattern of KAcCu2F8 for λ = 1.5418 Å (Cu Kα), from a cell relaxed with PBE.

Most intense lines, 10 to 90 degrees two-theta, most intense first:
Position (°2θ)	I/Imax
26.83	100
17.08	46
51.89	43
30.41	27
45.01	24
32.38	22
35.08	22
21.38	20
16.03	19
54.45	16

Crystal structure
a b c (Å): 5.879 5.879 11.061
angles (deg): 90.00 90.00 90.00
Space group I-4 (No. 82)
Symmetry-distinct sites (fractional):
K 0.000 0.000 0.000
Ac 0.000 0.500 0.250
Cu 0.000 0.000 0.500
Cu 0.000 0.500 0.750
F 0.103 0.290 0.446
F 0.146 0.781 0.792


Computed powder X-ray diffraction pattern of La6PmHo3 for λ = 1.5418 Å (Cu Kα), from a cell relaxed with PBE.

Most intense lines, 10 to 90 degrees two-theta, most intense first:
Position (°2θ)	I/Imax
30.83	100
28.12	51
54.85	31
53.17	17
42.21	17
40.18	15
64.22	14
47.94	12
35.79	11
89.35	8

Crystal structure
a b c (Å): 10.0492 10.0492 12.2775
angles (deg): 90.00 90.00 120.00
Space group R32 (No. 155, hexagonal axes)
Symmetry-distinct sites (fractional):
La 0.0000 0.3261 0.0000
La 0.0000 0.6734 0.5000
Pm 0.0000 0.0000 0.0000
Ho 0.0000 0.0000 0.2524
Ho 0.0000 0.0000 0.5000


Computed powder X-ray diffraction pattern of Ca2Pr6Nd3 for λ = 1.5418 Å (Cu Kα), from a cell relaxed with PBE.

Most intense lines, 10 to 90 degrees two-theta, most intense first:
Position (°2θ)	I/Imax
29.35	100
33.94	67
29.08	34
57.93	28
48.93	25
48.58	22
58.08	14
57.62	13
60.87	12
79.29	12

Crystal structure
a b c (Å): 3.7235 3.7235 101.3263
angles (deg): 90.00 90.00 120.00
Space group R-3m (No. 166, hexagonal axes)
Symmetry-distinct sites (fractional):
Ca 0.0000 0.0000 0.0462
Pr 0.0000 0.0000 0.1369
Pr 0.0000 0.0000 0.3190
Pr 0.0000 0.0000 0.4112
Nd 0.0000 0.0000 0.2264
Nd 0.0000 0.0000 0.5000